This entry pairs a crystal structure of KAgHg14 with its computed powder diffraction line list. Radiation: a wavelength of 1.5418 Å. Structure: a structure optimized by DFT (PBE).
Intensities are scaled so that the largest is 100.

Structure:
a b c (Å): 9.3763 9.3763 11.3989
angles (deg): 106.22 106.22 84.13
Sites, in units of the cell vectors:
K  0.1826  0.8174  0.7500
K  0.8174  0.1826  0.2500
Ag  0.0000  0.5000  0.0000
Ag  0.5000  0.0000  0.5000
Hg  0.0289  0.1430  0.6270
Hg  0.1124  0.4572  0.4241
Hg  0.1250  0.1963  0.9226
Hg  0.1430  0.0289  0.1270
Hg  0.1484  0.4575  0.7926
Hg  0.1963  0.1250  0.4226
Hg  0.2399  0.4130  0.1985
Hg  0.2547  0.7015  0.0887
Hg  0.2985  0.7453  0.4113
Hg  0.4130  0.2399  0.6985
Hg  0.4216  0.5236  0.6053
Hg  0.4572  0.1124  0.9241
Hg  0.4575  0.1484  0.2926
Hg  0.4764  0.5784  0.8947
Hg  0.5236  0.4216  0.1053
Hg  0.5425  0.8516  0.7074
Hg  0.5428  0.8876  0.0759
Hg  0.5784  0.4764  0.3947
Hg  0.5870  0.7601  0.3015
Hg  0.7015  0.2547  0.5887
Hg  0.7453  0.2985  0.9113
Hg  0.7601  0.5870  0.8015
Hg  0.8037  0.8750  0.5774
Hg  0.8516  0.5425  0.2074
Hg  0.8570  0.9711  0.8730
Hg  0.8750  0.8037  0.0774
Hg  0.8876  0.5428  0.5759
Hg  0.9711  0.8570  0.3730

Largest 10 diffraction maxima, sorted by position, 10° ≤ 2θ ≤ 90°:
2θ 27.77, rel. 77.9; 2θ 28.72, rel. 81.7; 2θ 29.60, rel. 49.9; 2θ 29.78, rel. 52.5; 2θ 31.41, rel. 50.9; 2θ 32.20, rel. 89.7; 2θ 33.20, rel. 79.3; 2θ 38.41, rel. 100.0; 2θ 39.11, rel. 45.5; 2θ 39.21, rel. 50.8



This entry pairs a crystal structure of Er12Co7 with its computed powder diffraction line list. Radiation: a wavelength of 1.5418 Å. Structure: a structure optimized by DFT (PBE).
Intensities are scaled so that the largest is 100.

Structure:
a b c (Å): 8.2063 11.0925 10.9182
angles (deg): 90.00 125.05 90.00
Sites, in units of the cell vectors:
Er  0.0036  0.1590  0.3419
Er  0.0036  0.3410  0.8419
Er  0.2345  0.5709  0.8064
Er  0.2345  0.9291  0.3064
Er  0.2522  0.1988  0.1760
Er  0.2522  0.3012  0.6760
Er  0.2636  0.7055  0.5382
Er  0.2636  0.7945  0.0382
Er  0.2688  0.0707  0.9128
Er  0.2688  0.4293  0.4128
Er  0.3438  0.5033  0.1445
Er  0.3438  0.9967  0.6445
Er  0.6562  0.0033  0.3555
Er  0.6562  0.4967  0.8555
Er  0.7312  0.5707  0.5872
Er  0.7312  0.9293  0.0872
Er  0.7364  0.2055  0.9618
Er  0.7364  0.2945  0.4618
Er  0.7478  0.6988  0.3240
Er  0.7478  0.8012  0.8240
Er  0.7655  0.0709  0.6936
Er  0.7655  0.4291  0.1936
Er  0.9964  0.6590  0.1581
Er  0.9964  0.8410  0.6581
Co  0.0000  0.0000  0.0000
Co  0.0000  0.5000  0.5000
Co  0.0063  0.0994  0.6000
Co  0.0063  0.4006  0.1000
Co  0.3987  0.6847  0.3416
Co  0.3987  0.8153  0.8416
Co  0.4095  0.1775  0.4739
Co  0.4095  0.3225  0.9739
Co  0.5905  0.6775  0.0261
Co  0.5905  0.8225  0.5261
Co  0.6013  0.1847  0.1584
Co  0.6013  0.3153  0.6584
Co  0.9937  0.5994  0.9000
Co  0.9937  0.9006  0.4000

Largest 10 diffraction maxima, sorted by position, 10° ≤ 2θ ≤ 90°:
2θ 26.54, rel. 34.9; 2θ 31.89, rel. 39.4; 2θ 33.04, rel. 46.5; 2θ 33.86, rel. 100.0; 2θ 34.02, rel. 67.4; 2θ 34.21, rel. 41.0; 2θ 34.48, rel. 60.6; 2θ 34.81, rel. 46.6; 2θ 37.32, rel. 37.4; 2θ 40.33, rel. 39.7